Calculated powder X-ray diffraction pattern of Li3Mn3P4O16 for Cu Kα X-rays, from the GGA+U geometry in Alexandria.
No peak broadening, texture or thermal motion is included.

Largest 6 diffraction maxima, sorted by position, 10° ≤ 2θ ≤ 90°:
2θ (°)  I/Imax  index
21.2  68  1 2 0
25.0  48  1 2 1
25.3  100  0 3 1
29.7  51  2 0 -1
30.7  65  0 4 0
31.5  84  0 3 2

Structural model:
Cell lengths 6.1147, 11.6553, 8.4875 Å; angles 90.00, 100.44, 90.00 degrees
Positions (direct):
Li: 0.1220 0.0000 0.4132
Li: 0.2070 0.9919 0.7554
Li: 0.3761 0.7925 0.4999
Li: 0.6239 0.2925 0.5001
Li: 0.7930 0.4919 0.2446
Li: 0.8780 0.5000 0.5868
Mn: 0.1091 0.2841 0.2144
Mn: 0.1195 0.6795 0.1630
Mn: 0.4292 0.4552 0.7881
Mn: 0.5708 0.9552 0.2119
Mn: 0.8805 0.1795 0.8370
Mn: 0.8909 0.7841 0.7856
P: 0.0393 0.9548 0.0889
P: 0.1391 0.2531 0.5799
P: 0.3733 0.5156 0.4200
P: 0.4162 0.7796 0.9126
P: 0.5838 0.2796 0.0874
P: 0.6267 0.0156 0.5800
P: 0.8609 0.7531 0.4201
P: 0.9607 0.4548 0.9111
O: 0.0187 0.3269 0.9743
O: 0.0562 0.0349 0.9501
O: 0.0619 0.8306 0.4278
O: 0.1136 0.1569 0.7075
O: 0.1337 0.4974 0.8145
O: 0.1457 0.1908 0.4151
O: 0.1830 0.4385 0.3347
O: 0.2071 0.8084 0.7806
O: 0.2562 0.9528 0.2166
O: 0.3440 0.6378 0.3402
O: 0.3532 0.6882 0.0286
O: 0.3539 0.5456 0.5965
O: 0.3645 0.3131 0.6346
O: 0.3966 0.9666 0.5880
O: 0.4025 0.2321 0.1771
O: 0.4994 0.8942 0.9953
O: 0.5006 0.3942 0.0047
O: 0.5975 0.7321 0.8229
O: 0.6034 0.4666 0.4120
O: 0.6355 0.8131 0.3654
O: 0.6461 0.0456 0.4035
O: 0.6468 0.1882 0.9714
O: 0.6560 0.1378 0.6598
O: 0.7438 0.4528 0.7834
O: 0.7929 0.3084 0.2194
O: 0.8170 0.9385 0.6653
O: 0.8543 0.6908 0.5849
O: 0.8663 0.9974 0.1855
O: 0.8864 0.6569 0.2925
O: 0.9381 0.3306 0.5722
O: 0.9438 0.5349 0.0499
O: 0.9813 0.8269 0.0257